Entry 1:
Structure and computed powder diffraction line list of Sm2Dy4ErTm (the GGA-PBE geometry in Alexandria; Cu Kα).
Peak positions follow from Bragg's law for the DFT cell and can differ from measured ones.

abc: 9.4793 9.4793 6.7808
angles: 110.95 110.95 88.59
Fractional coordinates of all 16 atoms:
Sm: 0.0000 0.0000 0.0000
Sm: 0.0000 0.0000 0.5000
Sm: 0.0000 0.5000 0.0000
Sm: 0.5000 0.0000 0.5000
Dy: 0.2510 0.2557 0.5051
Dy: 0.2536 0.7461 0.5013
Dy: 0.2539 0.7464 0.9987
Dy: 0.2557 0.2510 0.0051
Dy: 0.7443 0.7490 0.9949
Dy: 0.7461 0.2536 0.0013
Dy: 0.7464 0.2539 0.4987
Dy: 0.7490 0.7443 0.4949
Er: 0.0000 0.5000 0.5000
Er: 0.5000 0.0000 0.0000
Tm: 0.5000 0.5000 0.0000
Tm: 0.5000 0.5000 0.5000

Main lines, by angle (15° ≤ 2θ ≤ 90°):
| 2θ (°) | Rel. int. |
| --- | --- |
| 26.94 | 45 |
| 30.43 | 100 |
| 41.08 | 89 |
| 54.07 | 20 |
| 61.43 | 27 |
| 64.64 | 23 |

Entry 2:
Structure and computed powder diffraction line list of Sm5Dy2ErTm (the GGA-PBE geometry in Alexandria; Cu Kα).
Peak positions follow from Bragg's law for the DFT cell and can differ from measured ones.

abc: 10.4583 10.4583 10.6172
angles: 90.00 90.00 148.90
Fractional coordinates of all 18 atoms:
Sm: 0.0167 0.9833 0.5000
Sm: 0.2798 0.7202 0.7939
Sm: 0.2987 0.7013 0.1892
Sm: 0.3847 0.6153 0.5032
Sm: 0.4822 0.5178 0.2248
Sm: 0.5178 0.4822 0.7248
Sm: 0.6153 0.3847 0.0032
Sm: 0.7013 0.2987 0.6892
Sm: 0.7202 0.2798 0.2939
Sm: 0.9833 0.0167 0.0000
Dy: 0.1119 0.8881 0.2199
Dy: 0.1143 0.8857 0.7940
Dy: 0.8857 0.1143 0.2940
Dy: 0.8881 0.1119 0.7199
Er: 0.4088 0.5912 0.9436
Er: 0.5912 0.4088 0.4436
Tm: 0.1985 0.8015 0.4929
Tm: 0.8015 0.1985 0.9929

Main lines, by angle (15° ≤ 2θ ≤ 90°):
| 2θ (°) | Rel. int. |
| --- | --- |
| 27.86 | 15 |
| 30.19 | 33 |
| 31.92 | 37 |
| 32.13 | 100 |
| 33.77 | 14 |
| 57.01 | 20 |

Entry 3:
Structure and computed powder diffraction line list of SmDy2ErTm5 (the GGA-PBE geometry in Alexandria; Cu Kα).
Peak positions follow from Bragg's law for the DFT cell and can differ from measured ones.

abc: 9.5759 9.5759 9.5759
angles: 124.98 124.98 81.57
Fractional coordinates of all 18 atoms:
Sm: 0.2500 0.2500 0.0000
Sm: 0.7500 0.7500 0.0000
Dy: 0.1127 0.6127 0.7254
Dy: 0.3873 0.1127 0.5000
Dy: 0.6127 0.8873 0.5000
Dy: 0.8873 0.3873 0.2746
Er: 0.2500 0.7500 0.5000
Er: 0.7500 0.2500 0.5000
Tm: 0.0000 0.0000 0.0000
Tm: 0.0731 0.1618 0.5000
Tm: 0.1618 0.6618 0.0887
Tm: 0.3382 0.4269 0.5000
Tm: 0.4269 0.9269 0.0887
Tm: 0.5000 0.5000 0.0000
Tm: 0.5731 0.0731 0.9113
Tm: 0.6618 0.5731 0.5000
Tm: 0.8382 0.3382 0.9113
Tm: 0.9269 0.8382 0.5000

Main lines, by angle (15° ≤ 2θ ≤ 90°):
| 2θ (°) | Rel. int. |
| --- | --- |
| 28.54 | 46 |
| 29.17 | 42 |
| 31.93 | 100 |
| 37.17 | 20 |
| 42.60 | 16 |
| 52.72 | 17 |

Entry 4:
Structure and computed powder diffraction line list of SmDy5Er2Tm (the GGA-PBE geometry in Alexandria; Cu Kα).
Peak positions follow from Bragg's law for the DFT cell and can differ from measured ones.

abc: 10.2882 10.2882 10.5648
angles: 90.00 90.00 148.63
Fractional coordinates of all 18 atoms:
Sm: 0.2004 0.7996 0.5000
Sm: 0.7996 0.2004 0.0000
Dy: 0.0175 0.9825 0.5144
Dy: 0.2818 0.7182 0.7954
Dy: 0.3004 0.6996 0.1963
Dy: 0.3927 0.6073 0.5128
Dy: 0.4791 0.5209 0.2279
Dy: 0.5209 0.4791 0.7279
Dy: 0.6073 0.3927 0.0128
Dy: 0.6996 0.3004 0.6963
Dy: 0.7182 0.2818 0.2954
Dy: 0.9825 0.0175 0.0144
Er: 0.1087 0.8913 0.2281
Er: 0.1136 0.8864 0.8070
Er: 0.8864 0.1136 0.3070
Er: 0.8913 0.1087 0.7281
Tm: 0.4130 0.5870 0.9461
Tm: 0.5870 0.4130 0.4461

Main lines, by angle (15° ≤ 2θ ≤ 90°):
| 2θ (°) | Rel. int. |
| --- | --- |
| 28.32 | 15 |
| 30.38 | 33 |
| 32.18 | 38 |
| 32.51 | 100 |
| 33.94 | 13 |
| 57.59 | 20 |

Entry 5:
Structure and computed powder diffraction line list of Sm2DyYEr6 (the GGA-PBE geometry in Alexandria; Cu Kα).
Peak positions follow from Bragg's law for the DFT cell and can differ from measured ones.

abc: 8.7382 8.7382 9.5888
angles: 94.37 94.37 118.33
Fractional coordinates of all 20 atoms:
Sm: 0.1937 0.3009 0.0428
Sm: 0.3009 0.1937 0.5428
Sm: 0.6991 0.8063 0.4572
Sm: 0.8063 0.6991 0.9572
Dy: 0.4076 0.5924 0.7500
Dy: 0.5924 0.4076 0.2500
Y: 0.0195 0.9805 0.2500
Y: 0.9805 0.0195 0.7500
Er: 0.0230 0.5745 0.1863
Er: 0.1269 0.7459 0.5570
Er: 0.2541 0.8731 0.9430
Er: 0.2901 0.5012 0.3805
Er: 0.4255 0.9770 0.3137
Er: 0.4988 0.7099 0.1195
Er: 0.5012 0.2901 0.8805
Er: 0.5745 0.0230 0.6863
Er: 0.7099 0.4988 0.6195
Er: 0.7459 0.1269 0.0570
Er: 0.8731 0.2541 0.4430
Er: 0.9770 0.4255 0.8137

Main lines, by angle (15° ≤ 2θ ≤ 90°):
| 2θ (°) | Rel. int. |
| --- | --- |
| 30.69 | 65 |
| 30.93 | 100 |
| 31.47 | 71 |
| 31.77 | 52 |
| 31.94 | 92 |
| 33.80 | 96 |

Entry 6:
Structure and computed powder diffraction line list of Sm2Dy4YEr2 (the GGA-PBE geometry in Alexandria; Cu Kα).
Peak positions follow from Bragg's law for the DFT cell and can differ from measured ones.

abc: 9.4916 9.4916 9.5358
angles: 115.24 115.24 21.82
Fractional coordinates of all 9 atoms:
Sm: 0.1482 0.1482 0.1672
Sm: 0.8518 0.8518 0.8328
Dy: 0.1850 0.1850 0.8327
Dy: 0.4812 0.4812 0.1674
Dy: 0.5188 0.5188 0.8326
Dy: 0.8150 0.8150 0.1673
Y: 0.0000 0.0000 0.5000
Er: 0.3330 0.3330 0.4988
Er: 0.6670 0.6670 0.5012

Main lines, by angle (15° ≤ 2θ ≤ 90°):
| 2θ (°) | Rel. int. |
| --- | --- |
| 28.93 | 34 |
| 31.24 | 50 |
| 31.96 | 100 |
| 33.67 | 86 |
| 50.87 | 39 |
| 60.92 | 45 |